Structure and calculated X-ray diffraction stick pattern of Ba2NaReO6 (DFT lattice parameters and positions (GGA-PBE); Cu Kα, 1.54184 Å).
No peak broadening, texture or thermal motion is included.

Cell and atoms:
Lattice parameters (Å, degrees): 5.9548 5.9548 5.9548 60.00 60.00 60.00
Element x y z (fractional)
Ba  0.2500  0.2500  0.2500
Ba  0.7500  0.7500  0.7500
Na  0.0000  0.0000  0.0000
Re  0.5000  0.5000  0.5000
O  0.2739  0.2739  0.7261
O  0.2739  0.7261  0.2739
O  0.2739  0.7261  0.7261
O  0.7261  0.2739  0.2739
O  0.7261  0.2739  0.7261
O  0.7261  0.7261  0.2739

Most intense lines, 2θ = 10–90°, most intense first:
d = 2.977 Å, I 100
d = 1.719 Å, I 40
d = 4.862 Å, I 35
d = 2.105 Å, I 30
d = 1.125 Å, I 22
d = 1.489 Å, I 19

---

Structure and calculated X-ray diffraction stick pattern of Ba5Na2Ru3O14 (DFT lattice parameters and positions (GGA-PBE); Cu Kα, 1.54184 Å).
No peak broadening, texture or thermal motion is included.

Cell and atoms:
Lattice parameters (Å, degrees): 5.9137 24.7410 5.9778 90.00 119.36 90.00
Element x y z (fractional)
Ba  0.0058  0.0000  0.0234
Ba  0.0142  0.8295  0.0235
Ba  0.3197  0.6057  0.6424
Ba  0.3258  0.2213  0.6283
Ba  0.3427  0.9151  0.6863
Ba  0.6573  0.4151  0.3137
Ba  0.6742  0.7213  0.3717
Ba  0.6803  0.1057  0.3576
Ba  0.9858  0.3295  0.9765
Ba  0.9942  0.5000  0.9766
Na  0.3224  0.7635  0.6813
Na  0.3455  0.0672  0.6817
Na  0.6545  0.5672  0.3183
Na  0.6776  0.2635  0.3187
Ru  0.0038  0.6624  0.0121
Ru  0.3250  0.3578  0.6472
Ru  0.3263  0.4706  0.6482
Ru  0.6737  0.9706  0.3518
Ru  0.6750  0.8578  0.3528
Ru  0.9962  0.1624  0.9879
O  0.0107  0.3184  0.4910
O  0.0139  0.5126  0.4925
O  0.0715  0.7225  0.8742
O  0.1728  0.4147  0.8001
O  0.1753  0.4145  0.3474
O  0.1793  0.1292  0.3300
O  0.1817  0.6975  0.3540
O  0.2389  0.6075  0.1272
O  0.2872  0.1536  0.9546
O  0.3708  0.9137  0.2010
O  0.4703  0.3150  0.9543
O  0.4800  0.3167  0.4869
O  0.4850  0.5106  0.4923
O  0.4885  0.5118  0.9593
O  0.5115  0.0118  0.0407
O  0.5150  0.0106  0.5077
O  0.5200  0.8167  0.5131
O  0.5297  0.8150  0.0457
O  0.6292  0.4137  0.7990
O  0.7128  0.6536  0.0454
O  0.7611  0.1075  0.8728
O  0.8183  0.1975  0.6460
O  0.8207  0.6292  0.6700
O  0.8247  0.9145  0.6526
O  0.8272  0.9147  0.1999
O  0.9285  0.2225  0.1258
O  0.9861  0.0126  0.5075
O  0.9893  0.8184  0.5090

Most intense lines, 2θ = 10–90°, most intense first:
d = 2.957 Å, I 100
d = 3.217 Å, I 96
d = 3.001 Å, I 93
d = 2.988 Å, I 91
d = 2.913 Å, I 57
d = 3.233 Å, I 49

---

Structure and calculated X-ray diffraction stick pattern of Ba4NaRu3O12 (DFT lattice parameters and positions (GGA-PBE); Cu Kα, 1.54184 Å).
No peak broadening, texture or thermal motion is included.

Cell and atoms:
Lattice parameters (Å, degrees): 5.8771 5.8771 19.4497 90.00 90.00 120.00
Element x y z (fractional)
Ba  0.0000  0.0000  0.0000
Ba  0.0000  0.0000  0.5000
Ba  0.3333  0.6667  0.1285
Ba  0.3333  0.6667  0.3799
Ba  0.3333  0.6667  0.7553
Ba  0.6667  0.3333  0.2553
Ba  0.6667  0.3333  0.6285
Ba  0.6667  0.3333  0.8799
Na  0.3333  0.6667  0.9424
Na  0.6667  0.3333  0.4424
Ru  0.0000  0.0000  0.1817
Ru  0.0000  0.0000  0.3186
Ru  0.0000  0.0000  0.6817
Ru  0.0000  0.0000  0.8186
Ru  0.3333  0.6667  0.5660
Ru  0.6667  0.3333  0.0660
O  0.0270  0.5135  0.5111
O  0.1522  0.3045  0.2470
O  0.1522  0.8478  0.2470
O  0.1564  0.3128  0.8711
O  0.1564  0.8436  0.8711
O  0.1654  0.3308  0.6272
O  0.1654  0.8346  0.6272
O  0.3045  0.1522  0.7470
O  0.3128  0.1564  0.3711
O  0.3308  0.1654  0.1272
O  0.4865  0.5135  0.5111
O  0.4865  0.9730  0.5111
O  0.5135  0.0270  0.0111
O  0.5135  0.4865  0.0111
O  0.6692  0.8346  0.6272
O  0.6872  0.8436  0.8711
O  0.6955  0.8478  0.2470
O  0.8346  0.1654  0.1272
O  0.8346  0.6692  0.1272
O  0.8436  0.1564  0.3711
O  0.8436  0.6872  0.3711
O  0.8478  0.1522  0.7470
O  0.8478  0.6955  0.7470
O  0.9730  0.4865  0.0111

Most intense lines, 2θ = 10–90°, most intense first:
d = 2.939 Å, I 100
d = 3.091 Å, I 43
d = 2.734 Å, I 41
d = 2.130 Å, I 28
d = 2.002 Å, I 24
d = 1.697 Å, I 20

---

Structure and calculated X-ray diffraction stick pattern of Ba5Na2Ru3O14 (DFT lattice parameters and positions (GGA-PBE); Cu Kα, 1.54184 Å).
No peak broadening, texture or thermal motion is included.

Cell and atoms:
Lattice parameters (Å, degrees): 5.9544 5.9544 24.5200 90.00 90.00 119.71
Element x y z (fractional)
Ba  0.0056  0.9944  0.5000
Ba  0.0059  0.9941  0.8222
Ba  0.3298  0.6702  0.2154
Ba  0.3362  0.6638  0.9083
Ba  0.3387  0.6613  0.6066
Ba  0.6613  0.3387  0.1066
Ba  0.6638  0.3362  0.4083
Ba  0.6702  0.3298  0.7154
Ba  0.9944  0.0056  0.0000
Ba  0.9941  0.0059  0.3222
Na  0.3384  0.6616  0.7554
Na  0.3444  0.6556  0.0567
Na  0.6556  0.3444  0.5567
Na  0.6616  0.3384  0.2554
Ru  0.0066  0.9934  0.6595
Ru  0.3270  0.6730  0.3520
Ru  0.3321  0.6679  0.4650
Ru  0.6679  0.3321  0.9650
Ru  0.6730  0.3270  0.8520
Ru  0.9934  0.0066  0.1595
O  0.0153  0.5197  0.3114
O  0.0243  0.5021  0.5073
O  0.1131  0.3273  0.6902
O  0.1457  0.8543  0.7057
O  0.1658  0.2783  0.1070
O  0.1768  0.3708  0.4072
O  0.1768  0.8232  0.4099
O  0.2783  0.1658  0.6070
O  0.3273  0.1131  0.1902
O  0.3708  0.1768  0.9072
O  0.4803  0.9847  0.3114
O  0.4814  0.5186  0.3096
O  0.4931  0.5069  0.5005
O  0.4979  0.9757  0.5073
O  0.5021  0.0243  0.0073
O  0.5069  0.4931  0.0005
O  0.5186  0.4814  0.8096
O  0.5197  0.0153  0.8114
O  0.6292  0.8232  0.4072
O  0.6727  0.8869  0.6902
O  0.7217  0.8342  0.1070
O  0.8232  0.1768  0.9099
O  0.8232  0.6292  0.9072
O  0.8342  0.7217  0.6070
O  0.8543  0.1457  0.2057
O  0.8869  0.6727  0.1902
O  0.9757  0.4979  0.0073
O  0.9847  0.4803  0.8114

Most intense lines, 2θ = 10–90°, most intense first:
d = 2.977 Å, I 100
d = 3.205 Å, I 70
d = 2.899 Å, I 56
d = 2.990 Å, I 48
d = 2.185 Å, I 27
d = 2.080 Å, I 24